Structure and theoretical powder X-ray diffraction pattern of LaTbPr2Hg2 (DFT lattice parameters and positions (PBE); Cu Kα).
Kinematic intensities with the Lorentz-polarization factor, no thermal factor.

Main lines, in order of rising 2θ (2θ = 10–90°):
- d 3.196, I = 36
- d 3.016, I = 19
- d 2.932, I = 25
- d 2.879, I = 100
- d 2.739, I = 84
- d 2.614, I = 58
- d 2.200, I = 23
- d 2.193, I = 17
- d 1.637, I = 20
- d 1.532, I = 20

```
data_LaTbPr2Hg2
_symmetry_space_group_name_H-M 'P m c 21'
_symmetry_Int_Tables_number 26
_cell_length_a 5.228
_cell_length_b 9.649
_cell_length_c 7.386
_cell_angle_alpha 90.00
_cell_angle_beta 90.00
_cell_angle_gamma 90.00
loop_
_symmetry_equiv_pos_as_xyz
'x,y,z'
'-x,-y,z+1/2'
'-x,y,z'
'x,-y,z+1/2'
loop_
_atom_site_label
_atom_site_type_symbol
_atom_site_fract_x
_atom_site_fract_y
_atom_site_fract_z
_atom_site_occupancy
La1 La 0.000 0.059 0.000 1
Tb1 Tb 0.500 0.178 0.677 1
Pr1 Pr 0.000 0.330 0.344 1
Pr2 Pr 0.500 0.441 0.026 1
Hg1 Hg 0.000 0.347 0.770 1
Hg2 Hg 0.500 0.140 0.260 1
```